For In4Ag9, a PBE-relaxed structure gives the simulated powder diffractogram in this record (copper Kα).

Peak list (6 most intense, 10° ≤ 2θ ≤ 90°, most intense first)
2theta, I (rel.)
38.0, 100
68.6, 21
77.1, 10
54.8, 10
30.8, 5
64.2, 5

Atomic structure:
```
data_In4Ag9
_cell_length_a 10.050
_cell_length_b 10.050
_cell_length_c 10.050
_cell_angle_alpha 90.00
_cell_angle_beta 90.00
_cell_angle_gamma 90.00
_space_group_name_H-M_alt 'P -4 3 m'
_space_group_IT_number 215
_space_group_name_Hall 'P -4 2 3'
loop_
_atom_site_label
_atom_site_type_symbol
_atom_site_fract_x
_atom_site_fract_y
_atom_site_fract_z
_atom_site_occupancy
In1 In 0.034 0.310 0.310 1
In2 In 0.377 0.377 0.623 1
Ag1 Ag 0.000 0.000 0.356 1
Ag2 Ag 0.105 0.105 0.105 1
Ag3 Ag 0.143 0.500 0.500 1
Ag4 Ag 0.174 0.174 0.826 1
Ag5 Ag 0.183 0.183 0.529 1
Ag6 Ag 0.329 0.329 0.329 1
```



For In3Ag13, a PBE-relaxed structure gives the simulated powder diffractogram in this record (copper Kα).

Peak list (6 most intense, 10° ≤ 2θ ≤ 90°, most intense first)
2theta, I (rel.)
36.9, 100
61.5, 21
40.8, 19
43.9, 15
44.0, 15
71.8, 13

Atomic structure:
```
data_In3Ag13
_cell_length_a 8.840
_cell_length_b 8.258
_cell_length_c 8.237
_cell_angle_alpha 90.00
_cell_angle_beta 90.00
_cell_angle_gamma 90.00
_space_group_name_H-M_alt 'A m m 2'
_space_group_IT_number 38
loop_
_space_group_symop_operation_xyz
'x,y,z'
'-x,-y,z'
'-x,y,z'
'x,-y,z'
'x,y+1/2,z+1/2'
'-x,-y+1/2,z+1/2'
'-x,y+1/2,z+1/2'
'x,-y+1/2,z+1/2'
loop_
_atom_site_label
_atom_site_type_symbol
_atom_site_fract_x
_atom_site_fract_y
_atom_site_fract_z
_atom_site_occupancy
In1 In 0.000 0.000 0.000 1
In2 In 0.259 0.000 0.278 1
Ag1 Ag 0.000 0.000 0.525 1
Ag2 Ag 0.000 0.242 0.265 1
Ag3 Ag 0.252 0.247 0.021 1
Ag4 Ag 0.254 0.000 0.766 1
Ag5 Ag 0.500 0.000 0.019 1
Ag6 Ag 0.500 0.000 0.525 1
Ag7 Ag 0.500 0.246 0.771 1
```